Diffraction record for AcAlGaPd6. The powder X-ray diffraction pattern is simulated, not measured: it uses DFT lattice parameters and positions (PBE) and Cu Kα.
Neutral-atom scattering factors, no anomalous dispersion.

Crystal structure
Cell: 7.950 8.262 11.466 Å, 90.00 90.00 90.00°
Space group Imma (No. 74)
One atom of each set of equivalent atoms:
Ac  0.000  0.250  0.131 [4 per cell]
Al  0.000  0.000  0.500 [4 per cell]
Ga  0.250  0.250  0.750 [4 per cell]
Pd  0.000  0.250  0.385 [4 per cell]
Pd  0.000  0.250  0.877 [4 per cell]
Pd  0.247  0.006  0.625 [16 per cell]

Principal peaks in the range 10 to 90 degrees two-theta, in order of falling intensity:
- 2θ 31.2, I 100, (2 2 0)
- 2θ 44.7, I 78, (2 2 4)
- 2θ 74.0, I 21, (4 4 4)
- 2θ 26.1, I 21, (2 1 1)
- 2θ 43.8, I 21, (0 4 0)
- 2θ 65.1, I 19, (4 4 0)
- 2θ 45.6, I 19, (4 0 0)
- 2θ 54.8, I 13, (0 4 4)